No. 1
The following is a calculated powder X-ray diffraction pattern of Nd2Fe. It was derived from a structure optimized by DFT (PBE), using Cu Kα (λ = 1.5418 Å).
Kinematic intensities with the Lorentz-polarization factor, no thermal factor.

Top 10 peaks for 5 to 70 degrees two-theta, by angle:
hkl 1 0 4, 2θ 26.5, rel. 84; hkl 1 1 0, 2θ 34.2, rel. 100; hkl 1 0 7, 2θ 37.1, rel. 6; hkl 0 1 8, 2θ 41.1, rel. 56; hkl 0 2 4, 2θ 43.8, rel. 22; hkl 2 0 8, 2θ 54.5, rel. 24; hkl 2 1 4, 2θ 56.7, rel. 21; hkl 3 0 0, 2θ 61.3, rel. 18; hkl 1 2 8, 2θ 65.9, rel. 27; hkl 1 1 12, 2θ 66.2, rel. 12

Cell and atoms:
abc: 5.2419 5.2419 20.0964
angles: 90.00 90.00 120.00
Space group R-3m (No. 166, hexagonal axes)
Unique sites:
Nd: 0.0000 0.0000 0.0000 x3
Nd: 0.0000 0.0000 0.2438 x6
Nd: 0.0000 0.0000 0.5000 x3
Fe: 0.0000 0.0000 0.3677 x6


No. 2
The following is a calculated powder X-ray diffraction pattern of Nd2Fe17. It was derived from a structure optimized by DFT (PBE), using Cu Kα (λ = 1.5418 Å).
Kinematic intensities with the Lorentz-polarization factor, no thermal factor.

Top 10 peaks for 5 to 70 degrees two-theta, by angle:
hkl 1 1 3, 2θ 29.9, rel. 38; hkl 3 0 0, 2θ 36.3, rel. 41; hkl 0 2 4, 2θ 37.7, rel. 28; hkl 2 2 0, 2θ 42.1, rel. 65; hkl 3 0 3, 2θ 42.5, rel. 100; hkl 2 1 4, 2θ 43.4, rel. 18; hkl 0 0 6, 2θ 43.5, rel. 33; hkl 2 2 3, 2θ 47.7, rel. 23; hkl 1 4 3, 2θ 61.4, rel. 17; hkl 2 2 6, 2θ 62.2, rel. 18

Cell and atoms:
abc: 8.5829 8.5829 12.4704
angles: 90.00 90.00 120.00
Space group R-3m (No. 166, hexagonal axes)
Unique sites:
Nd: 0.0000 0.0000 0.1581 x6
Fe: 0.0000 0.0000 0.4030 x6
Fe: 0.0000 0.2894 0.5000 x18
Fe: 0.0000 0.5000 0.0000 x9
Fe: 0.0032 0.5016 0.3429 x18


No. 3
The following is a calculated powder X-ray diffraction pattern of NdFe5. It was derived from a structure optimized by DFT (PBE), using Cu Kα (λ = 1.5418 Å).
Kinematic intensities with the Lorentz-polarization factor, no thermal factor.

Top 10 peaks for 5 to 70 degrees two-theta, by angle:
hkl 1 0 1, 2θ 30.3, rel. 50; hkl 1 1 0, 2θ 34.9, rel. 34; hkl 2 0 0, 2θ 40.5, rel. 37; hkl 1 1 1, 2θ 41.9, rel. 100; hkl 0 0 2, 2θ 46.0, rel. 24; hkl 1 1 2, 2θ 59.0, rel. 14; hkl 2 1 1, 2θ 59.7, rel. 14; hkl 3 0 0, 2θ 62.6, rel. 6; hkl 2 0 2, 2θ 62.9, rel. 19; hkl 3 0 1, 2θ 67.4, rel. 23

Cell and atoms:
abc: 5.1428 5.1428 3.9472
angles: 90.00 90.00 120.00
Space group P6/mmm (No. 191)
Unique sites:
Nd: 0.0000 0.0000 0.0000 x1
Fe: 0.0000 0.5000 0.5000 x3
Fe: 0.3333 0.6667 0.0000 x2